[1]
Computed powder X-ray diffraction pattern
Compound: Y3Mn2Ga9
Radiation: Cu Kα
Structure: a DFT-relaxed cell (PBE, Alexandria)

Peak list (8 most intense, 10 to 90 degrees two-theta, low angle first)
index	2theta	Rel. int.
0 2 4	34.0	36
1 3 0	35.5	65
1 2 3	35.5	100
1 1 4	36.7	37
1 3 2	38.3	31
2 0 0	43.0	51
1 4 1	44.4	31
1 3 4	45.9	32

```
data_Y3Mn2Ga9
_space_group_name_H-M_alt 'I m m m'
_space_group_IT_number 71
_space_group_name_Hall '-I 2 2'
_cell_length_a 4.2113
_cell_length_b 9.4936
_cell_length_c 12.6966
_cell_angle_alpha 90.00
_cell_angle_beta 90.00
_cell_angle_gamma 90.00
loop_
_atom_site_label
_atom_site_type_symbol
_atom_site_fract_x
_atom_site_fract_y
_atom_site_fract_z
Y1 Y 0.0000 0.0000 0.0000
Y2 Y 0.0000 0.0000 0.2992
Mn1 Mn 0.0000 0.1781 0.5000
Ga1 Ga 0.0000 0.2846 0.1343
Ga2 Ga 0.0000 0.3634 0.3473
Ga3 Ga 0.0000 0.5000 0.0000
```

=====

[2]
Computed powder X-ray diffraction pattern
Compound: Ag2HgS6
Radiation: Cu Kα
Structure: a DFT-relaxed cell (PBE, Alexandria)

Peak list (8 most intense, 10 to 90 degrees two-theta, low angle first)
index	2theta	Rel. int.
0 0 1	13.6	90
1 -1 1	23.7	100
1 1 -1	24.0	51
0 2 -2	27.5	39
1 -2 0	32.7	39
1 0 -2	32.9	38
0 3 -1	36.6	86
0 2 2	48.5	39

```
data_Ag2HgS6
_space_group_name_H-M_alt 'P -1'
_space_group_IT_number 2
_space_group_name_Hall '-P 1'
_cell_length_a 4.5755
_cell_length_b 7.5071
_cell_length_c 7.5082
_cell_angle_alpha 119.80
_cell_angle_beta 91.55
_cell_angle_gamma 92.69
loop_
_atom_site_label
_atom_site_type_symbol
_atom_site_fract_x
_atom_site_fract_y
_atom_site_fract_z
Ag1 Ag 0.0017 0.2524 0.2500
Hg1 Hg 0.5000 0.0000 0.5000
S1 S 0.0739 0.7227 0.2235
S2 S 0.1859 0.1283 0.8823
S3 S 0.1933 0.3837 0.6272
```

=====

[3]
Computed powder X-ray diffraction pattern
Compound: Ba5HgN
Radiation: Cu Kα
Structure: a DFT-relaxed cell (PBE, Alexandria)

Peak list (8 most intense, 10 to 90 degrees two-theta, low angle first)
index	2theta	Rel. int.
2 0 0	14.5	47
2 2 -1	23.9	46
1 1 -3	25.4	52
0 2 2	26.1	87
4 0 -2	26.8	62
3 1 1	28.4	63
2 0 -4	31.0	100
2 2 2	33.4	41

```
data_Ba5HgN
_space_group_name_H-M_alt 'C 1 2/c 1'
_space_group_IT_number 15
_space_group_name_Hall '-C 2yc'
_cell_length_a 13.5342
_cell_length_b 9.0086
_cell_length_c 11.5382
_cell_angle_alpha 90.00
_cell_angle_beta 115.14
_cell_angle_gamma 90.00
loop_
_atom_site_label
_atom_site_type_symbol
_atom_site_fract_x
_atom_site_fract_y
_atom_site_fract_z
Ba1 Ba 0.0000 0.0571 0.2500
Ba2 Ba 0.0695 0.2909 0.9879
Ba3 Ba 0.2109 0.0937 0.6228
Hg1 Hg 0.0000 0.4370 0.2500
N1 N 0.0000 0.0000 0.0000
```

=====

[4]
Computed powder X-ray diffraction pattern
Compound: U4S3
Radiation: Cu Kα
Structure: a DFT-relaxed cell (PBE, Alexandria)

Peak list (8 most intense, 10 to 90 degrees two-theta, low angle first)
index	2theta	Rel. int.
0 0 9	22.3	33
1 0 4	29.7	100
0 1 5	30.6	25
0 1 8	34.5	68
1 0 13	43.3	53
1 1 0	49.4	46
0 1 17	51.9	30
1 1 21	75.9	24

```
data_U4S3
_space_group_name_H-M_alt 'R -3 m'
_space_group_IT_number 166
_space_group_name_Hall '-R 3 2"'
_cell_length_a 3.6886
_cell_length_b 3.6886
_cell_length_c 35.9079
_cell_angle_alpha 90.00
_cell_angle_beta 90.00
_cell_angle_gamma 120.00
loop_
_atom_site_label
_atom_site_type_symbol
_atom_site_fract_x
_atom_site_fract_y
_atom_site_fract_z
U1 U 0.0000 0.0000 0.1197
U2 U 0.0000 0.0000 0.3532
S1 S 0.0000 0.0000 0.2610
S2 S 0.0000 0.0000 0.5000
```

=====

[5]
Computed powder X-ray diffraction pattern
Compound: RbAgClF
Radiation: Cu Kα
Structure: a DFT-relaxed cell (PBE, Alexandria)

Peak list (8 most intense, 10 to 90 degrees two-theta, low angle first)
index	2theta	Rel. int.
1 0 0	23.4	21
1 0 1	24.4	38
1 0 2	27.1	100
0 0 4	27.3	40
1 0 3	31.2	42
1 1 0	41.1	58
1 0 6	48.2	38
1 1 4	50.1	42

```
data_RbAgClF
_space_group_name_H-M_alt 'P 63 m c'
_space_group_IT_number 186
_space_group_name_Hall 'P 6c -2c'
_cell_length_a 4.3900
_cell_length_b 4.3900
_cell_length_c 13.0639
_cell_angle_alpha 90.00
_cell_angle_beta 90.00
_cell_angle_gamma 120.00
loop_
_atom_site_label
_atom_site_type_symbol
_atom_site_fract_x
_atom_site_fract_y
_atom_site_fract_z
Rb1 Rb 0.3333 0.6667 0.0000
Ag1 Ag 0.0000 0.0000 0.2547
Cl1 Cl 0.3333 0.6667 0.6952
F1 F 0.0000 0.0000 0.4312
```

=====

[6]
Computed powder X-ray diffraction pattern
Compound: KCrAsCl6
Radiation: Cu Kα
Structure: a DFT-relaxed cell (PBE, Alexandria)

Peak list (8 most intense, 10 to 90 degrees two-theta, low angle first)
index	2theta	Rel. int.
0 0 1	12.9	100
1 1 -1	19.4	44
0 2 1	20.3	53
2 0 -1	28.4	42
1 3 1	30.4	56
2 0 -2	35.9	36
1 3 2	38.4	75
3 3 0	46.6	36

```
data_KCrAsCl6
_space_group_name_H-M_alt 'C 1 2 1'
_space_group_IT_number 5
_space_group_name_Hall 'C 2y'
_cell_length_a 6.8428
_cell_length_b 11.3328
_cell_length_c 6.8690
_cell_angle_alpha 90.00
_cell_angle_beta 93.68
_cell_angle_gamma 90.00
loop_
_atom_site_label
_atom_site_type_symbol
_atom_site_fract_x
_atom_site_fract_y
_atom_site_fract_z
K1 K 0.0000 0.0000 0.0000
Cr1 Cr 0.0000 0.6763 0.5000
As1 As 0.0000 0.3375 0.5000
Cl1 Cl 0.1204 0.5271 0.7175
Cl2 Cl 0.1598 0.2033 0.7198
Cl3 Cl 0.1835 0.8253 0.6842
```

=====

[7]
Computed powder X-ray diffraction pattern
Compound: Tb3Dy2Ho3
Radiation: Cu Kα
Structure: a DFT-relaxed cell (PBE, Alexandria)

Peak list (8 most intense, 10 to 90 degrees two-theta, low angle first)
index	2theta	Rel. int.
0 4 1	28.5	24
2 0 0	31.8	24
1 0 2	32.8	100
2 4 1	43.3	16
0 8 0	50.6	20
3 0 2	57.3	20
2 8 0	61.0	23
1 8 2	61.6	16

```
data_Tb3Dy2Ho3
_space_group_name_H-M_alt 'P m m n'
_space_group_IT_number 59
_cell_length_a 5.6210
_cell_length_b 14.4512
_cell_length_c 6.2488
_cell_angle_alpha 90.00
_cell_angle_beta 90.00
_cell_angle_gamma 90.00
loop_
_space_group_symop_operation_xyz
'x,y,z'
'-x,-y,-z'
'-x+1/2,-y+1/2,z'
'x+1/2,y+1/2,-z'
'x+1/2,-y,-z'
'-x+1/2,y,z'
'-x,y+1/2,-z'
'x,-y+1/2,z'
loop_
_atom_site_label
_atom_site_type_symbol
_atom_site_fract_x
_atom_site_fract_y
_atom_site_fract_z
Tb1 Tb 0.2500 0.1247 0.1661
Tb2 Tb 0.2500 0.7500 0.6665
Dy1 Dy 0.2500 0.6249 0.1670
Ho1 Ho 0.2500 0.0001 0.6663
Ho2 Ho 0.2500 0.2500 0.6655
```

=====

[8]
Computed powder X-ray diffraction pattern
Compound: Tl2Ag2S7
Radiation: Cu Kα
Structure: a DFT-relaxed cell (PBE, Alexandria)

Peak list (8 most intense, 10 to 90 degrees two-theta, low angle first)
index	2theta	Rel. int.
1 1 1	20.9	100
-1 1 1	25.2	56
1 -1 1	27.4	60
1 0 2	28.0	51
1 1 -1	28.5	93
0 1 3	32.2	45
-1 2 1	32.3	84
0 3 2	35.8	42

```
data_Tl2Ag2S7
_space_group_name_H-M_alt 'P -1'
_space_group_IT_number 2
_space_group_name_Hall '-P 1'
_cell_length_a 4.7717
_cell_length_b 7.8152
_cell_length_c 8.5147
_cell_angle_alpha 64.97
_cell_angle_beta 78.99
_cell_angle_gamma 81.56
loop_
_atom_site_label
_atom_site_type_symbol
_atom_site_fract_x
_atom_site_fract_y
_atom_site_fract_z
Tl1 Tl 0.0247 0.1841 0.2584
Ag1 Ag 0.4869 0.7573 0.3806
S1 S 0.1186 0.5089 0.5833
S2 S 0.3601 0.9012 0.0697
S3 S 0.4260 0.4438 0.9337
S4 S 0.5000 0.0000 0.5000
```

=====

[9]
Computed powder X-ray diffraction pattern
Compound: Y3U2Ru4
Radiation: Cu Kα
Structure: a DFT-relaxed cell (PBE, Alexandria)

Peak list (8 most intense, 10 to 90 degrees two-theta, low angle first)
index	2theta	Rel. int.
2 0 0	16.5	26
2 0 -1	17.6	79
1 1 -2	29.6	31
2 0 -3	32.1	41
3 1 0	32.8	100
1 1 3	40.0	74
3 1 2	41.6	38
0 2 0	43.1	40

```
data_Y3U2Ru4
_space_group_name_H-M_alt 'C 1 2/m 1'
_space_group_IT_number 12
_space_group_name_Hall '-C 2y'
_cell_length_a 10.9922
_cell_length_b 4.2020
_cell_length_c 8.8622
_cell_angle_alpha 90.00
_cell_angle_beta 101.38
_cell_angle_gamma 90.00
loop_
_atom_site_label
_atom_site_type_symbol
_atom_site_fract_x
_atom_site_fract_y
_atom_site_fract_z
Y1 Y 0.0000 0.0000 0.0000
Y2 Y 0.1251 0.5000 0.3845
U1 U 0.1737 0.5000 0.7786
Ru1 Ru 0.0910 0.0000 0.6367
Ru2 Ru 0.2199 0.5000 0.0925
```

=====

[10]
Computed powder X-ray diffraction pattern
Compound: Ca5Ga6O14
Radiation: Cu Kα
Structure: a DFT-relaxed cell (PBE, Alexandria)

Peak list (8 most intense, 10 to 90 degrees two-theta, low angle first)
index	2theta	Rel. int.
0 0 2	16.7	66
1 3 0	24.7	30
3 1 1	25.7	62
3 1 2	29.6	82
1 3 2	29.9	100
4 0 2	35.2	40
4 2 1	35.7	58
4 2 3	43.3	30

```
data_Ca5Ga6O14
_space_group_name_H-M_alt 'C m c 21'
_space_group_IT_number 36
_space_group_name_Hall 'C 2c -2'
_cell_length_a 11.6242
_cell_length_b 11.3968
_cell_length_c 10.6009
_cell_angle_alpha 90.00
_cell_angle_beta 90.00
_cell_angle_gamma 90.00
loop_
_atom_site_label
_atom_site_type_symbol
_atom_site_fract_x
_atom_site_fract_y
_atom_site_fract_z
Ca1 Ca 0.0000 0.0274 0.0000
Ca2 Ca 0.1430 0.3149 0.0455
Ca3 Ca 0.1584 0.4000 0.4976
Ga1 Ga 0.0000 0.1999 0.3035
Ga2 Ga 0.0000 0.4997 0.2805
Ga3 Ga 0.1431 0.1450 0.7378
Ga4 Ga 0.2444 0.0970 0.2689
O1 O 0.0000 0.1114 0.6721
O2 O 0.0000 0.2019 0.1302
O3 O 0.0000 0.3532 0.3687
O4 O 0.0000 0.4896 0.1093
O5 O 0.1248 0.1240 0.3782
O6 O 0.1264 0.4342 0.8680
O7 O 0.1608 0.1492 0.9101
O8 O 0.2131 0.2781 0.6622
O9 O 0.2352 0.0283 0.6542
```

=====

[11]
Computed powder X-ray diffraction pattern
Compound: BaNa7In5
Radiation: Cu Kα
Structure: a DFT-relaxed cell (PBE, Alexandria)

Peak list (8 most intense, 10 to 90 degrees two-theta, low angle first)
index	2theta	Rel. int.
0 1 1	11.3	49
0 0 2	15.8	67
0 2 2	22.6	62
0 0 4	31.9	78
2 2 0	32.1	100
0 4 0	32.5	39
2 2 2	36.0	61
0 4 4	46.2	36

```
data_BaNa7In5
_space_group_name_H-M_alt 'I m m 2'
_space_group_IT_number 44
_space_group_name_Hall 'I 2 -2'
_cell_length_a 6.4568
_cell_length_b 11.0148
_cell_length_c 11.2274
_cell_angle_alpha 90.00
_cell_angle_beta 90.00
_cell_angle_gamma 90.00
loop_
_atom_site_label
_atom_site_type_symbol
_atom_site_fract_x
_atom_site_fract_y
_atom_site_fract_z
Ba1 Ba 0.0000 0.0000 0.0000
Na1 Na 0.0000 0.0000 0.3528
Na2 Na 0.0000 0.0000 0.6675
Na3 Na 0.0000 0.2881 0.5222
Na4 Na 0.0000 0.3485 0.0310
Na5 Na 0.0000 0.5000 0.7437
In1 In 0.0000 0.5000 0.3098
In2 In 0.2433 0.2425 0.7757
```

=====

[12]
Computed powder X-ray diffraction pattern
Compound: RbGeS
Radiation: Cu Kα
Structure: a DFT-relaxed cell (PBE, Alexandria)

Peak list (8 most intense, 10 to 90 degrees two-theta, low angle first)
index	2theta	Rel. int.
1 0 0	22.6	9
1 0 1	28.5	100
0 0 2	34.8	17
1 1 0	39.6	36
2 0 1	49.6	21
1 1 2	53.8	29
1 0 3	58.7	12
2 1 1	65.2	18

```
data_RbGeS
_space_group_name_H-M_alt 'P -6 m 2'
_space_group_IT_number 187
_space_group_name_Hall 'P -6 2'
_cell_length_a 4.5476
_cell_length_b 4.5476
_cell_length_c 5.1507
_cell_angle_alpha 90.00
_cell_angle_beta 90.00
_cell_angle_gamma 120.00
loop_
_atom_site_label
_atom_site_type_symbol
_atom_site_fract_x
_atom_site_fract_y
_atom_site_fract_z
Rb1 Rb 0.0000 0.0000 0.0000
Ge1 Ge 0.3333 0.6667 0.5000
S1 S 0.6667 0.3333 0.5000
```